Starting from a DFT-relaxed cell (GGA+U, the Materials Project), the PXRD pattern of LiEu2Cr2O8 was computed for Cu Kα X-rays.
No peak broadening, texture or thermal motion is included.

Crystal structure
```
data_LiEu2Cr2O8
_chemical_formula_sum 'Li2 Eu4 Cr4 O16'
_cell_length_a 9.693
_cell_length_b 7.484
_cell_length_c 6.461
_cell_angle_alpha 90.00
_cell_angle_beta 128.87
_cell_angle_gamma 90.00
_symmetry_space_group_name_H-M 'C 1 2 1'
_symmetry_Int_Tables_number 5
_symmetry_space_group_name_Hall 'C 2y'
loop_
_atom_site_label
_atom_site_type_symbol
_atom_site_fract_x
_atom_site_fract_y
_atom_site_fract_z
Li1 Li 0.000 0.000 0.000
Eu1 Eu 0.237 0.240 0.604
Cr1 Cr 0.244 0.757 0.874
O1 O 0.064 0.781 0.869
O2 O 0.077 0.238 0.792
O3 O 0.246 0.071 0.280
O4 O 0.248 0.929 0.702
```

Most intense lines, 2θ from 10° to 90°, most intense first:
hkl 2 0 0, 23.58 deg, d = 3.774 Å, rel. 100
hkl 0 2 0, 23.78 deg, d = 3.742 Å, rel. 98
hkl 1 1 -2, 31.94 deg, d = 2.802 Å, rel. 71
hkl 3 1 -2, 32.98 deg, d = 2.716 Å, rel. 69
hkl 2 2 0, 33.73 deg, d = 2.657 Å, rel. 47
hkl 1 1 2, 46.24 deg, d = 1.963 Å, rel. 40
hkl 3 3 -2, 48.00 deg, d = 1.895 Å, rel. 29
hkl 1 3 -2, 47.25 deg, d = 1.924 Å, rel. 28
hkl 5 1 -2, 48.54 deg, d = 1.876 Å, rel. 28
hkl 1 1 -1, 18.15 deg, d = 4.887 Å, rel. 27

=====

Starting from a DFT-relaxed cell (GGA+U, the Materials Project), the PXRD pattern of EuMgCrO3 was computed for Cu Kα X-rays.
No peak broadening, texture or thermal motion is included.

Crystal structure
```
data_EuMgCrO3
_chemical_formula_sum 'Eu1 Mg1 Cr1 O3'
_cell_length_a 3.915
_cell_length_b 3.915
_cell_length_c 7.256
_cell_angle_alpha 90.00
_cell_angle_beta 90.00
_cell_angle_gamma 90.00
_symmetry_space_group_name_H-M 'P 4/m m m'
_symmetry_Int_Tables_number 123
_symmetry_space_group_name_Hall '-P 4 2'
loop_
_atom_site_label
_atom_site_type_symbol
_atom_site_fract_x
_atom_site_fract_y
_atom_site_fract_z
Eu1 Eu 0.000 0.000 0.000
Mg1 Mg 0.000 0.000 0.500
Cr1 Cr 0.500 0.500 0.500
O1 O 0.000 0.500 0.500
O2 O 0.500 0.500 0.000
```

Most intense lines, 2θ from 10° to 90°, most intense first:
hkl 1 0 1, 25.86 deg, d = 3.445 Å, rel. 100
hkl 0 0 2, 24.54 deg, d = 3.628 Å, rel. 89
hkl 1 1 2, 41.01 deg, d = 2.201 Å, rel. 51
hkl 1 1 0, 32.34 deg, d = 2.768 Å, rel. 49
hkl 2 0 2, 53.17 deg, d = 1.723 Å, rel. 38
hkl 2 0 0, 46.39 deg, d = 1.957 Å, rel. 29
hkl 1 0 0, 22.71 deg, d = 3.915 Å, rel. 28
hkl 2 1 1, 53.87 deg, d = 1.702 Å, rel. 27
hkl 1 1 1, 34.68 deg, d = 2.586 Å, rel. 27
hkl 1 0 3, 44.01 deg, d = 2.058 Å, rel. 24

=====

Starting from a DFT-relaxed cell (GGA+U, the Materials Project), the PXRD pattern of NdEuMnCrO6 was computed for Cu Kα X-rays.
No peak broadening, texture or thermal motion is included.

Crystal structure
```
data_NdEuMnCrO6
_chemical_formula_sum 'Nd4 Eu4 Mn4 Cr4 O24'
_cell_length_a 8.692
_cell_length_b 8.884
_cell_length_c 8.923
_cell_angle_alpha 90.00
_cell_angle_beta 90.00
_cell_angle_gamma 90.00
_symmetry_space_group_name_H-M 'P 2 2 2'
_symmetry_Int_Tables_number 16
_symmetry_space_group_name_Hall 'P 2 2'
loop_
_atom_site_label
_atom_site_type_symbol
_atom_site_fract_x
_atom_site_fract_y
_atom_site_fract_z
Nd1 Nd 0.000 0.000 0.000
Nd2 Nd 0.000 0.000 0.500
Nd3 Nd 0.500 0.000 0.000
Nd4 Nd 0.500 0.500 0.500
Eu1 Eu 0.000 0.500 0.000
Eu2 Eu 0.000 0.500 0.500
Eu3 Eu 0.500 0.000 0.500
Eu4 Eu 0.500 0.500 0.000
Mn1 Mn 0.249 0.251 0.752
Cr1 Cr 0.249 0.252 0.248
O1 O 0.015 0.214 0.777
O2 O 0.223 0.488 0.717
O3 O 0.225 0.215 0.512
O4 O 0.278 0.010 0.779
O5 O 0.279 0.271 0.987
O6 O 0.485 0.274 0.715
```

Most intense lines, 2θ from 10° to 90°, most intense first:
hkl 2 2 0, 28.71 deg, d = 3.110 Å, rel. 100
hkl 0 2 2, 28.35 deg, d = 3.148 Å, rel. 51
hkl 2 2 2, 35.20 deg, d = 2.549 Å, rel. 31
hkl 2 2 4, 50.36 deg, d = 1.812 Å, rel. 23
hkl 2 4 2, 50.48 deg, d = 1.808 Å, rel. 22
hkl 4 2 2, 51.07 deg, d = 1.788 Å, rel. 21
hkl 0 0 2, 19.94 deg, d = 4.452 Å, rel. 20
hkl 0 0 4, 40.43 deg, d = 2.231 Å, rel. 16
hkl 0 4 0, 40.62 deg, d = 2.221 Å, rel. 16
hkl 4 0 0, 41.56 deg, d = 2.173 Å, rel. 15

=====

> Which formula does entry 1 have?

LiEu2Cr2O8